No. 1
Theoretical PXRD pattern
Compound: Sn2BiTe
Radiation: a wavelength of 1.5418 Å
Structure: a PBE-relaxed structure
Lines closer than 0.1° are merged.

Structure:
```
Sn2BiTe
1.0
6.355 0.000 0.000
0.000 6.393 0.000
0.000 0.000 12.732
Sn Bi Te
8 4 4
direct
0.000 0.224 0.123 Sn
0.000 0.242 0.625 Sn
0.000 0.758 0.375 Sn
0.000 0.776 0.877 Sn
0.500 0.224 0.377 Sn
0.500 0.242 0.875 Sn
0.500 0.758 0.125 Sn
0.500 0.776 0.623 Sn
0.000 0.276 0.875 Bi
0.000 0.724 0.125 Bi
0.500 0.276 0.625 Bi
0.500 0.724 0.375 Bi
0.000 0.237 0.374 Te
0.000 0.763 0.626 Te
0.500 0.237 0.126 Te
0.500 0.763 0.874 Te
```

Largest 8 diffraction maxima, in order of rising 2θ, 10 to 90 degrees two-theta:
2θ = 27.9°, I 47; 2θ = 28.1°, I 100; 2θ = 40.0°, I 73; 2θ = 40.1°, I 39; 2θ = 49.6°, I 40; 2θ = 65.6°, I 18; 2θ = 65.7°, I 18; 2θ = 72.8°, I 26

No. 2
Theoretical PXRD pattern
Compound: Th4SnBi4
Radiation: a wavelength of 1.5418 Å
Structure: a PBE-relaxed structure
Lines closer than 0.1° are merged.

Structure:
```
Th4SnBi4
1.0
-4.197 4.197 4.478
4.197 -4.197 4.478
4.197 4.197 -4.478
Th Sn Bi
4 1 4
direct
0.078 0.078 0.524 Th
0.446 0.922 0.000 Th
0.554 0.554 0.476 Th
0.922 0.446 0.000 Th
0.500 0.500 0.000 Sn
0.000 0.500 0.500 Bi
0.163 0.163 0.000 Bi
0.500 0.000 0.500 Bi
0.837 0.837 0.000 Bi
```

Largest 8 diffraction maxima, in order of rising 2θ, 10 to 90 degrees two-theta:
2θ = 24.9°, I 64; 2θ = 29.2°, I 58; 2θ = 30.1°, I 100; 2θ = 38.5°, I 23; 2θ = 39.5°, I 37; 2θ = 43.1°, I 62; 2θ = 53.5°, I 26; 2θ = 71.1°, I 27

No. 3
Theoretical PXRD pattern
Compound: Th4SnBi2
Radiation: a wavelength of 1.5418 Å
Structure: a PBE-relaxed structure
Lines closer than 0.1° are merged.

Structure:
```
Th4SnBi2
1.0
2.315 -5.664 0.000
2.315 5.664 0.000
0.000 0.000 17.497
Th Sn Bi
8 2 4
direct
0.000 0.000 0.000 Th
0.000 0.000 0.500 Th
0.342 0.658 0.750 Th
0.356 0.644 0.131 Th
0.356 0.644 0.369 Th
0.644 0.356 0.631 Th
0.644 0.356 0.869 Th
0.658 0.342 0.250 Th
0.048 0.952 0.750 Sn
0.952 0.048 0.250 Sn
0.332 0.668 0.568 Bi
0.332 0.668 0.932 Bi
0.668 0.332 0.068 Bi
0.668 0.332 0.432 Bi
```

Largest 8 diffraction maxima, in order of rising 2θ, 10 to 90 degrees two-theta:
2θ = 29.2°, I 33; 2θ = 30.0°, I 37; 2θ = 30.5°, I 100; 2θ = 33.0°, I 61; 2θ = 38.9°, I 30; 2θ = 41.0°, I 15; 2θ = 49.9°, I 19; 2θ = 52.0°, I 15

No. 4
Theoretical PXRD pattern
Compound: TiSnBi3
Radiation: a wavelength of 1.5418 Å
Structure: a PBE-relaxed structure
Lines closer than 0.1° are merged.

Structure:
```
TiSnBi3
1.0
5.440 0.000 0.000
0.000 5.440 0.000
0.000 0.000 5.440
Ti Sn Bi
1 1 3
direct
0.000 0.000 0.000 Ti
0.500 0.500 0.500 Sn
0.000 0.000 0.500 Bi
0.000 0.500 0.000 Bi
0.500 0.000 0.000 Bi
```

Largest 8 diffraction maxima, in order of rising 2θ, 10 to 90 degrees two-theta:
2θ = 28.4°, I 100; 2θ = 32.9°, I 67; 2θ = 47.3°, I 50; 2θ = 56.1°, I 48; 2θ = 58.8°, I 18; 2θ = 76.3°, I 20; 2θ = 78.7°, I 23; 2θ = 87.9°, I 19